# 1
This entry pairs a crystal structure of Zr4ScCr with its calculated powder diffractogram. Radiation: Cu Kα (weighted mean of Kα1 and Kα2). Structure: a structure optimized by DFT (PBE).
Lines closer than 0.1° are merged.

Crystal structure
a b c (Å): 5.824 5.824 5.824
angles (deg): 60.00 60.00 60.00
Sites, in units of the cell vectors:
1 Zr 0.376 0.376 0.376
2 Zr 0.376 0.376 0.873
3 Zr 0.376 0.873 0.376
4 Zr 0.873 0.376 0.376
5 Sc 0.750 0.750 0.750
6 Cr 0.000 0.000 0.000

Largest 10 diffraction maxima, in order of rising 2θ, 10 to 80 degrees two-theta:
4.755 Å, 2θ 18.7, I 37; 2.912 Å, 2θ 30.7, I 12; 2.483 Å, 2θ 36.2, I 100; 2.378 Å, 2θ 37.8, I 62; 2.059 Å, 2θ 44.0, I 17; 1.890 Å, 2θ 48.2, I 9; 1.585 Å, 2θ 58.2, I 31; 1.456 Å, 2θ 63.9, I 30; 1.256 Å, 2θ 75.7, I 10; 1.242 Å, 2θ 76.8, I 22

---

# 2
This entry pairs a crystal structure of TlCd10Ga2 with its calculated powder diffractogram. Radiation: Cu Kα (weighted mean of Kα1 and Kα2). Structure: a structure optimized by DFT (PBE).
Lines closer than 0.1° are merged.

Crystal structure
a b c (Å): 10.544 8.208 7.688
angles (deg): 83.04 50.59 46.36
Sites, in units of the cell vectors:
1 Tl 0.000 0.000 0.000
2 Cd 0.000 0.000 0.500
3 Cd 0.002 0.354 0.646
4 Cd 0.289 0.496 0.504
5 Cd 0.354 0.002 0.998
6 Cd 0.496 0.289 0.711
7 Cd 0.500 0.500 0.000
8 Cd 0.504 0.711 0.289
9 Cd 0.646 0.998 0.002
10 Cd 0.711 0.504 0.496
11 Cd 0.998 0.646 0.354
12 Ga 0.000 0.500 0.000
13 Ga 0.500 0.000 0.500

Largest 10 diffraction maxima, in order of rising 2θ, 10 to 80 degrees two-theta:
2.960 Å, 2θ 30.2, I 84; 2.765 Å, 2θ 32.4, I 30; 2.652 Å, 2θ 33.8, I 100; 2.629 Å, 2θ 34.1, I 89; 2.513 Å, 2θ 35.7, I 83; 2.447 Å, 2θ 36.7, I 93; 2.284 Å, 2θ 39.5, I 31; 2.248 Å, 2θ 40.1, I 30; 2.190 Å, 2θ 41.2, I 28; 1.480 Å, 2θ 62.8, I 43